Diffraction record for Ho5Ni2Ge. The powder diffractogram is simulated, not measured: it uses DFT lattice parameters and positions (GGA-PBE) and λ = 1.5418 Å (Cu Kα).
No peak broadening, texture or thermal motion is included.

Largest 12 diffraction maxima, sorted by position, 2θ = 5–70°:
two_theta  d [Å]  intensity
27.42  3.253  31
32.38  2.765  21
33.79  2.652  100
36.64  2.453  32
37.86  2.376  48
41.86  2.158  8
44.15  2.051  8
54.64  1.680  19
56.64  1.625  8
56.84  1.620  18
57.70  1.598  8
59.49  1.554  18

Atomic structure:
Unit cell a=8.3759 b=8.3759 c=8.3759 alpha=126.69 beta=126.69 gamma=78.76
Fractional coordinates of all 16 atoms:
Ho (0.0000, 0.0000, 0.0000)
Ho (0.0202, 0.5202, 0.8226)
Ho (0.1975, 0.0202, 0.5000)
Ho (0.3025, 0.8025, 0.8226)
Ho (0.4798, 0.3025, 0.5000)
Ho (0.5000, 0.5000, 0.0000)
Ho (0.5202, 0.6975, 0.5000)
Ho (0.6975, 0.1975, 0.1774)
Ho (0.8025, 0.9798, 0.5000)
Ho (0.9798, 0.4798, 0.1774)
Ni (0.1269, 0.3731, 0.5000)
Ni (0.3731, 0.8731, 0.2462)
Ni (0.6269, 0.1269, 0.7538)
Ni (0.8731, 0.6269, 0.5000)
Ge (0.2500, 0.2500, 0.0000)
Ge (0.7500, 0.7500, 0.0000)

=====

Diffraction record for RbLiTeI6. The powder diffractogram is simulated, not measured: it uses DFT lattice parameters and positions (GGA-PBE) and λ = 1.5418 Å (Cu Kα).
No peak broadening, texture or thermal motion is included.

Largest 12 diffraction maxima, sorted by position, 2θ = 5–70°:
two_theta  d [Å]  intensity
10.73  8.243  18
13.23  6.690  10
17.07  5.195  29
21.56  4.121  13
25.46  3.498  100
31.75  2.818  55
37.19  2.418  17
40.28  2.239  22
40.45  2.230  27
48.41  1.880  12
50.18  1.818  11
50.41  1.810  13

Atomic structure:
Unit cell a=7.7255 b=7.7255 c=8.2426 alpha=90.00 beta=90.00 gamma=120.00
Fractional coordinates of all 9 atoms:
Rb (0.0000, 0.0000, 0.0000)
Li (0.3333, 0.6667, 0.5000)
Te (0.6667, 0.3333, 0.5000)
I (0.9996, 0.3719, 0.7090)
I (0.9996, 0.6278, 0.2910)
I (0.3722, 0.0004, 0.7090)
I (0.3722, 0.3719, 0.2910)
I (0.6281, 0.0004, 0.2910)
I (0.6281, 0.6278, 0.7090)

=====

Diffraction record for BPBr6. The powder diffractogram is simulated, not measured: it uses DFT lattice parameters and positions (GGA-PBE) and λ = 1.5418 Å (Cu Kα).
No peak broadening, texture or thermal motion is included.

Largest 12 diffraction maxima, sorted by position, 2θ = 5–70°:
two_theta  d [Å]  intensity
15.00  5.907  15
15.24  5.814  34
23.28  3.821  21
24.24  3.672  30
26.32  3.386  20
26.65  3.345  32
26.88  3.317  29
28.79  3.101  100
30.82  2.901  14
42.27  2.138  24
48.40  1.881  16
50.67  1.801  16

Atomic structure:
Unit cell a=13.3788 b=11.8137 c=7.6382 alpha=90.00 beta=90.00 gamma=90.00
Fractional coordinates of all 32 atoms:
B (0.1348, 0.2500, 0.0824)
B (0.3652, 0.7500, 0.5824)
B (0.6348, 0.2500, 0.4176)
B (0.8652, 0.7500, 0.9176)
P (0.0927, 0.2500, 0.8260)
P (0.4073, 0.7500, 0.3260)
P (0.5927, 0.2500, 0.6740)
P (0.9073, 0.7500, 0.1740)
Br (0.0024, 0.1014, 0.7579)
Br (0.0024, 0.3986, 0.7579)
Br (0.0048, 0.2500, 0.2105)
Br (0.2142, 0.1083, 0.1093)
Br (0.2142, 0.3917, 0.1093)
Br (0.2192, 0.2500, 0.6431)
Br (0.2808, 0.7500, 0.1431)
Br (0.2858, 0.6083, 0.6093)
Br (0.2858, 0.8917, 0.6093)
Br (0.4952, 0.7500, 0.7105)
Br (0.4976, 0.6014, 0.2579)
Br (0.4976, 0.8986, 0.2579)
Br (0.5024, 0.1014, 0.7421)
Br (0.5024, 0.3986, 0.7421)
Br (0.5048, 0.2500, 0.2895)
Br (0.7142, 0.1083, 0.3907)
Br (0.7142, 0.3917, 0.3907)
Br (0.7192, 0.2500, 0.8569)
Br (0.7808, 0.7500, 0.3569)
Br (0.7858, 0.6083, 0.8907)
Br (0.7858, 0.8917, 0.8907)
Br (0.9952, 0.7500, 0.7895)
Br (0.9976, 0.6014, 0.2421)
Br (0.9976, 0.8986, 0.2421)

=====

Diffraction record for LaSnAu. The powder diffractogram is simulated, not measured: it uses DFT lattice parameters and positions (GGA-PBE) and λ = 1.5418 Å (Cu Kα).
No peak broadening, texture or thermal motion is included.

Largest 12 diffraction maxima, sorted by position, 2θ = 5–70°:
two_theta  d [Å]  intensity
13.07  6.776  25
32.47  2.757  100
33.14  2.703  98
34.85  2.574  47
39.25  2.295  35
39.91  2.259  19
53.49  1.713  28
57.22  1.610  13
60.58  1.528  16
61.82  1.501  16
66.89  1.399  13
67.29  1.392  13

Atomic structure:
Unit cell a=5.1508 b=4.5907 c=7.1772 alpha=90.00 beta=109.24 gamma=90.00
Fractional coordinates of all 6 atoms:
La (0.1022, 0.2500, 0.2248)
La (0.8978, 0.7500, 0.7752)
Sn (0.4255, 0.2500, 0.8413)
Sn (0.5745, 0.7500, 0.1587)
Au (0.2862, 0.7500, 0.5348)
Au (0.7138, 0.2500, 0.4652)